The following is a computed X-ray powder pattern of ThMnCr. It was derived from a GGA-PBE-relaxed structure, using copper Kα.
Kinematic intensities with the Lorentz-polarization factor, no thermal factor.

Atomic structure:
```
ThMnCr
1.0
6.663 0.000 0.000
0.000 6.663 0.000
0.000 0.000 5.862
Th Mn Cr
4 4 4
direct
0.245 0.245 0.000
0.255 0.745 0.250
0.745 0.255 0.750
0.755 0.755 0.500
0.129 0.871 0.750
0.371 0.371 0.500
0.629 0.629 0.000
0.871 0.129 0.250
0.130 0.130 0.500
0.370 0.630 0.750
0.630 0.370 0.250
0.870 0.870 0.000
```

The 10 most intense peaks (2θ = 5–70°), most intense first:
h k l	Position (°2θ)	intensity
1 1 2	36.09	100
2 1 1	33.74	80
2 0 0	26.76	72
1 0 1	20.18	52
3 0 1	43.58	32
2 2 0	38.20	27
4 1 1	59.32	27
3 2 1	51.88	26
3 1 2	53.56	25
2 1 3	56.30	19